1.
For MgMo2O4, a crystal structure in the Materials Project, relaxed with GGA+U gives the simulated X-ray powder pattern in this record (Cu Kα X-rays).
Kinematic intensities with the Lorentz-polarization factor, no thermal factor.

Atomic structure:
Cell: 6.2863 6.2863 20.9848 Å, 98.02 98.02 61.45°
Fractional positions:
Mg1 0.0000 0.0000 0.0000
Mg2 0.1209 0.1209 0.8745
Mg3 0.2482 0.2482 0.7502
Mg4 0.5093 0.5093 0.5013
Mg5 0.7215 0.7215 0.6559
Mg6 0.7588 0.7588 0.2530
Mg7 0.8774 0.8774 0.1251
Mg8 0.9811 0.9811 0.4099
Mo1 0.0092 0.5066 0.5008
Mo2 0.0235 0.0235 0.5972
Mo3 0.2371 0.2371 0.1868
Mo4 0.2462 0.7396 0.7536
Mo5 0.2552 0.7591 0.2534
Mo6 0.2795 0.2795 0.3308
Mo7 0.3752 0.3752 0.6281
Mo8 0.4843 0.4843 0.9290
Mo9 0.4899 0.9956 0.9991
Mo10 0.5066 0.0092 0.5008
Mo11 0.5182 0.5182 0.0654
Mo12 0.6332 0.6332 0.3826
Mo13 0.7396 0.2462 0.7536
Mo14 0.7591 0.2552 0.2534
Mo15 0.7670 0.7670 0.8440
Mo16 0.9956 0.4899 0.9991
O1 0.0524 0.5994 0.1926
O2 0.0526 0.0526 0.1902
O3 0.0607 0.0607 0.7002
O4 0.0802 0.5471 0.6906
O5 0.1529 0.7022 0.0601
O6 0.1815 0.1815 0.0527
O7 0.2024 0.2024 0.5584
O8 0.2176 0.6669 0.5635
O9 0.2788 0.8500 0.9359
O10 0.2900 0.2900 0.9362
O11 0.3241 0.3241 0.4441
O12 0.3395 0.8095 0.4424
O13 0.4182 0.9431 0.8117
O14 0.4279 0.4279 0.8075
O15 0.4579 0.4579 0.3166
O16 0.4579 0.9197 0.3173
O17 0.5471 0.0802 0.6906
O18 0.5542 0.5542 0.6933
O19 0.5781 0.5781 0.2060
O20 0.5994 0.0524 0.1926
O21 0.6669 0.2176 0.5635
O22 0.6930 0.6930 0.5578
O23 0.7022 0.1529 0.0601
O24 0.7039 0.7039 0.0658
O25 0.8095 0.3395 0.4424
O26 0.8117 0.8117 0.9402
O27 0.8141 0.8141 0.4419
O28 0.8500 0.2788 0.9359
O29 0.9197 0.4579 0.3173
O30 0.9359 0.9359 0.8128
O31 0.9385 0.9385 0.3104
O32 0.9431 0.4182 0.8117

Peak list (10 most intense, 2θ from 15° to 90°, sorted by position)
2θ (°)  intensity
17.4  334
28.4  835
32.8  701
33.0  616
33.1  1000
33.6  341
34.4  314
40.2  369
53.4  416
58.8  564

2.
For MgMo2O4, a crystal structure in the Materials Project, relaxed with GGA+U gives the simulated X-ray powder pattern in this record (Cu Kα X-rays).
Kinematic intensities with the Lorentz-polarization factor, no thermal factor.

Atomic structure:
Cell: 6.4293 6.4293 6.4293 Å, 123.72 123.11 84.18°
Fractional positions:
Mg1 0.5000 0.0000 0.0000
Mg2 0.5000 0.5000 0.5000
Mo1 0.0000 0.0000 0.0000
Mo2 0.1215 0.3715 0.7500
Mo3 0.5000 0.0000 0.5000
Mo4 0.8785 0.6285 0.2500
O1 0.2307 0.2262 0.0045
O2 0.2777 0.2797 0.5020
O3 0.2782 0.7738 0.5045
O4 0.2777 0.7757 0.9980
O5 0.7223 0.2243 0.0020
O6 0.7218 0.2262 0.4955
O7 0.7223 0.7203 0.4980
O8 0.7693 0.7738 0.9955

Peak list (10 most intense, 2θ from 15° to 90°, sorted by position)
2θ (°)  intensity
18.6  177
27.9  563
29.5  367
31.8  623
34.1  1000
34.3  346
48.4  181
50.1  264
55.3  232
57.6  503

3.
For MgMo2O4, a crystal structure in the Materials Project, relaxed with GGA+U gives the simulated X-ray powder pattern in this record (Cu Kα X-rays).
Kinematic intensities with the Lorentz-polarization factor, no thermal factor.

Atomic structure:
Cell: 6.3398 6.3942 15.3692 Å, 88.34 89.07 60.65°
Fractional positions:
Mg1 0.0000 0.0000 0.0000
Mg2 0.0037 0.0008 0.7561
Mg3 0.3269 0.3459 0.3325
Mg4 0.6651 0.6710 0.0422
Mg5 0.6711 0.6690 0.6704
Mg6 0.9960 0.0092 0.3731
Mo1 0.0009 0.4993 0.8811
Mo2 0.1711 0.1732 0.5440
Mo3 0.1711 0.6742 0.5442
Mo4 0.3201 0.8478 0.2106
Mo5 0.3306 0.3351 0.0922
Mo6 0.3373 0.3358 0.7127
Mo7 0.5049 0.4993 0.8811
Mo8 0.5063 0.9926 0.8795
Mo9 0.6639 0.6738 0.4247
Mo10 0.6724 0.1729 0.5444
Mo11 0.8241 0.8477 0.2125
Mo12 0.8249 0.3438 0.2111
O1 0.0049 0.0001 0.6207
O2 0.0231 0.4906 0.6241
O3 0.1425 0.7019 0.2944
O4 0.1504 0.1696 0.2898
O5 0.1767 0.1784 0.7990
O6 0.1839 0.6447 0.7963
O7 0.3052 0.8641 0.4597
O8 0.3374 0.3453 0.4674
O9 0.3422 0.3142 0.9545
O10 0.3549 0.8165 0.9600
O11 0.4921 0.5336 0.1338
O12 0.4928 0.0232 0.6256
O13 0.4987 0.4940 0.6229
O14 0.5168 0.9702 0.1231
O15 0.6504 0.6703 0.2845
O16 0.6507 0.1818 0.7974
O17 0.6725 0.6675 0.8026
O18 0.6800 0.1638 0.2936
O19 0.8208 0.3567 0.9642
O20 0.8298 0.8189 0.9583
O21 0.8496 0.8561 0.4678
O22 0.8558 0.3155 0.4606
O23 0.9682 0.5386 0.1333
O24 0.9891 0.0184 0.1348

Peak list (10 most intense, 2θ from 15° to 90°, sorted by position)
2θ (°)  intensity
17.0  714
17.3  973
32.5  739
32.9  1000
33.3  777
33.5  480
34.5  453
39.5  417
40.2  403
40.9  390

4.
For MgMo2O4, a crystal structure in the Materials Project, relaxed with GGA+U gives the simulated X-ray powder pattern in this record (Cu Kα X-rays).
Kinematic intensities with the Lorentz-polarization factor, no thermal factor.

Atomic structure:
Cell: 9.6145 3.1402 11.0280 Å, 90.00 90.00 90.00°
Fractional positions:
Mg1 0.2481 0.2500 0.1577
Mg2 0.2519 0.7500 0.6577
Mg3 0.7481 0.2500 0.3423
Mg4 0.7519 0.7500 0.8423
Mo1 0.0497 0.2500 0.3780
Mo2 0.1018 0.2500 0.9014
Mo3 0.3982 0.7500 0.4014
Mo4 0.4503 0.7500 0.8780
Mo5 0.5497 0.2500 0.1220
Mo6 0.6018 0.2500 0.5986
Mo7 0.8982 0.7500 0.0986
Mo8 0.9503 0.7500 0.6220
O1 0.0753 0.7500 0.7782
O2 0.1001 0.2500 0.5714
O3 0.1189 0.7500 0.0457
O4 0.1901 0.7500 0.3145
O5 0.3099 0.2500 0.8145
O6 0.3811 0.2500 0.5457
O7 0.3999 0.7500 0.0714
O8 0.4247 0.2500 0.2782
O9 0.5753 0.7500 0.7218
O10 0.6001 0.2500 0.9286
O11 0.6189 0.7500 0.4543
O12 0.6901 0.7500 0.1855
O13 0.8099 0.2500 0.6855
O14 0.8811 0.2500 0.9543
O15 0.8999 0.7500 0.4286
O16 0.9247 0.2500 0.2218

Peak list (10 most intense, 2θ from 15° to 90°, sorted by position)
2θ (°)  intensity
18.5  555
32.3  535
32.5  286
34.1  1000
47.6  140
47.8  266
54.1  141
58.8  256
59.0  128
68.8  201

5.
For MgMo2O4, a crystal structure in the Materials Project, relaxed with GGA+U gives the simulated X-ray powder pattern in this record (Cu Kα X-rays).
Kinematic intensities with the Lorentz-polarization factor, no thermal factor.

Atomic structure:
Cell: 7.9349 7.9349 9.9203 Å, 128.58 128.58 23.02°
Fractional positions:
Mg1 0.1893 0.1893 0.2045
Mg2 0.8107 0.8107 0.7955
Mo1 0.1351 0.1351 0.4489
Mo2 0.3569 0.3569 0.1820
Mo3 0.6431 0.6431 0.8180
Mo4 0.8649 0.8649 0.5511
O1 0.0370 0.0370 0.7623
O2 0.2795 0.2795 0.9047
O3 0.3268 0.3268 0.6707
O4 0.3622 0.3622 0.4074
O5 0.6378 0.6378 0.5926
O6 0.6732 0.6732 0.3293
O7 0.7205 0.7205 0.0953
O8 0.9630 0.9630 0.2377

Peak list (10 most intense, 2θ from 15° to 90°, sorted by position)
2θ (°)  intensity
17.9  567
28.0  460
29.8  445
33.2  1000
34.4  381
35.2  379
47.2  464
51.2  294
55.1  224
61.2  202

6.
For MgMo2O4, a crystal structure in the Materials Project, relaxed with GGA+U gives the simulated X-ray powder pattern in this record (Cu Kα X-rays).
Kinematic intensities with the Lorentz-polarization factor, no thermal factor.

Atomic structure:
Cell: 6.3738 10.5500 5.5146 Å, 90.00 90.00 90.00°
Fractional positions:
Mg1 0.2500 0.2500 0.0336
Mg2 0.2500 0.7500 0.3587
Mg3 0.7500 0.2500 0.6413
Mg4 0.7500 0.7500 0.9664
Mo1 0.0000 0.0000 0.5000
Mo2 0.0000 0.5000 0.5000
Mo3 0.2500 0.5209 0.9810
Mo4 0.2500 0.9791 0.9810
Mo5 0.5000 0.0000 0.5000
Mo6 0.5000 0.5000 0.5000
Mo7 0.7500 0.0209 0.0190
Mo8 0.7500 0.4791 0.0190
O1 0.0012 0.1154 0.8356
O2 0.0012 0.3846 0.8356
O3 0.2500 0.0978 0.2935
O4 0.2500 0.4022 0.2935
O5 0.2500 0.6154 0.6267
O6 0.2500 0.8846 0.6267
O7 0.4988 0.1154 0.8356
O8 0.4988 0.3846 0.8356
O9 0.5012 0.6154 0.1644
O10 0.5012 0.8846 0.1644
O11 0.7500 0.1154 0.3733
O12 0.7500 0.3846 0.3733
O13 0.7500 0.5978 0.7065
O14 0.7500 0.9022 0.7065
O15 0.9988 0.6154 0.1644
O16 0.9988 0.8846 0.1644

Peak list (10 most intense, 2θ from 15° to 90°, sorted by position)
2θ (°)  intensity
16.8  1000
32.5  513
34.0  115
36.8  835
47.7  551
57.9  231
60.7  172
62.7  156
70.6  116
78.2  113

7.
For MgMo2O4, a crystal structure in the Materials Project, relaxed with GGA+U gives the simulated X-ray powder pattern in this record (Cu Kα X-rays).
Kinematic intensities with the Lorentz-polarization factor, no thermal factor.

Atomic structure:
Cell: 3.1176 10.3796 10.3199 Å, 90.00 90.00 90.00°
Fractional positions:
Mg1 0.2384 0.1423 0.2500
Mg2 0.2384 0.3577 0.7500
Mg3 0.7616 0.6423 0.2500
Mg4 0.7616 0.8577 0.7500
Mo1 0.2527 0.6179 0.5735
Mo2 0.2527 0.6179 0.9265
Mo3 0.2527 0.8821 0.0735
Mo4 0.2527 0.8821 0.4265
Mo5 0.7473 0.1179 0.5735
Mo6 0.7473 0.1179 0.9265
Mo7 0.7473 0.3821 0.0735
Mo8 0.7473 0.3821 0.4265
O1 0.2469 0.2500 0.0000
O2 0.2469 0.2500 0.5000
O3 0.2469 0.5210 0.1158
O4 0.2469 0.5210 0.3842
O5 0.2469 0.9790 0.6158
O6 0.2469 0.9790 0.8842
O7 0.2590 0.7276 0.7500
O8 0.2590 0.7724 0.2500
O9 0.7410 0.2276 0.7500
O10 0.7410 0.2724 0.2500
O11 0.7531 0.0210 0.1158
O12 0.7531 0.0210 0.3842
O13 0.7531 0.4790 0.6158
O14 0.7531 0.4790 0.8842
O15 0.7531 0.7500 0.0000
O16 0.7531 0.7500 0.5000

Peak list (10 most intense, 2θ from 15° to 90°, sorted by position)
2θ (°)  intensity
17.2  413
19.1  248
29.9  308
31.2  1000
34.6  187
38.9  359
39.9  406
42.8  309
47.3  247
59.9  358

8.
For MgMo2O4, a crystal structure in the Materials Project, relaxed with GGA+U gives the simulated X-ray powder pattern in this record (Cu Kα X-rays).
Kinematic intensities with the Lorentz-polarization factor, no thermal factor.

Atomic structure:
Cell: 5.4058 5.4058 10.3365 Å, 90.00 90.00 146.47°
Fractional positions:
Mg1 0.1080 0.8920 0.7500
Mg2 0.8920 0.1080 0.2500
Mo1 0.3676 0.6324 0.5738
Mo2 0.3676 0.6324 0.9262
Mo3 0.6324 0.3676 0.0738
Mo4 0.6324 0.3676 0.4262
O1 0.0000 0.0000 0.0000
O2 0.0000 0.0000 0.5000
O3 0.2716 0.7284 0.1164
O4 0.2716 0.7284 0.3836
O5 0.4772 0.5228 0.7500
O6 0.5228 0.4772 0.2500
O7 0.7284 0.2716 0.6164
O8 0.7284 0.2716 0.8836

Peak list (10 most intense, 2θ from 15° to 90°, sorted by position)
2θ (°)  intensity
17.2  409
19.2  248
29.9  306
31.2  1000
34.7  326
38.9  416
39.9  407
42.8  309
47.3  243
60.0  419